Starting from a PBE+U-relaxed structure, the powder X-ray diffraction pattern of V3CoO8 was simulated for Cu Ka.
No peak broadening, texture or thermal motion is included.

The 10 most intense peaks (10° ≤ 2θ ≤ 90°), in order of rising 2θ:
7.262 Å, 2θ 12.19, rel. 32.9; 4.843 Å, 2θ 18.32, rel. 36.8; 3.802 Å, 2θ 23.40, rel. 100.0; 3.170 Å, 2θ 28.15, rel. 50.6; 2.967 Å, 2θ 30.12, rel. 45.8; 2.771 Å, 2θ 32.30, rel. 51.0; 2.738 Å, 2θ 32.70, rel. 68.9; 2.358 Å, 2θ 38.16, rel. 35.0; 1.886 Å, 2θ 48.25, rel. 37.0; 1.515 Å, 2θ 61.19, rel. 40.8

Atomic structure:
Cell lengths 9.9620, 14.5239, 8.5784 Å; angles 90.00, 90.00, 90.00 degrees
Space group Iba2 (No. 45)
Symmetry-distinct sites (fractional):
V (0.0575, 0.2016, 0.0000) (multiplicity 8)
V (0.1604, 0.3483, 0.3106) (multiplicity 8)
V (0.1683, 0.0225, 0.5038) (multiplicity 8)
Co (0.1728, 0.3435, 0.6921) (multiplicity 8)
O (0.0093, 0.3869, 0.2544) (multiplicity 8)
O (0.0174, 0.0794, 0.0069) (multiplicity 8)
O (0.0857, 0.2679, 0.4920) (multiplicity 8)
O (0.1474, 0.2351, 0.1639) (multiplicity 8)
O (0.1535, 0.2274, 0.8382) (multiplicity 8)
O (0.2217, 0.0809, 0.3488) (multiplicity 8)
O (0.2239, 0.4186, 0.4943) (multiplicity 8)
O (0.2271, 0.0772, 0.6654) (multiplicity 8)